No. 1
Structure and computed powder XRD pattern of LiV2NiO6 (a cell relaxed with PBE+U; CuKα).
Neutral-atom scattering factors, no anomalous dispersion.

The 6 most intense peaks (2θ from 10° to 90°), in order of rising 2θ:
14.06°, d = 6.300 Å, I 43, (0 1 0); 19.28°, d = 4.605 Å, I 24, (1 0 1); 20.55°, d = 4.321 Å, I 24, (0 1 -1); 28.33°, d = 3.150 Å, I 100, (1 2 0); 28.43°, d = 3.140 Å, I 46, (1 0 2); 34.50°, d = 2.600 Å, I 41, (2 0 0)

Structural model:
```
data_LiV2NiO6
_chemical_formula_sum 'Li2 V4 Ni2 O12'
_space_group_name_H-M_alt 'P -1'
_space_group_IT_number 2
_space_group_name_Hall '-P 1'
_cell_length_a 5.656
_cell_length_b 6.763
_cell_length_c 7.042
_cell_angle_alpha 77.83
_cell_angle_beta 74.75
_cell_angle_gamma 70.03
loop_
_atom_site_label
_atom_site_fract_x
_atom_site_fract_y
_atom_site_fract_z
Li1 0.246 0.287 0.238
V1 0.198 0.857 0.117
V2 0.244 0.361 0.717
Ni1 0.254 0.913 0.580
O1 0.093 0.607 0.181
O2 0.160 0.001 0.312
O3 0.206 0.969 0.862
O4 0.226 0.615 0.625
O5 0.353 0.212 0.515
O6 0.433 0.282 0.901
```

=====

No. 2
Structure and computed powder XRD pattern of LiVBO3 (a cell relaxed with PBE+U; CuKα).
Neutral-atom scattering factors, no anomalous dispersion.

The 6 most intense peaks (2θ from 10° to 90°), in order of rising 2θ:
21.66°, d = 4.104 Å, I 100, (1 1 0); 33.35°, d = 2.686 Å, I 29, (1 2 0); 35.70°, d = 2.515 Å, I 93, (1 1 1); 37.97°, d = 2.370 Å, I 54, (3 0 0); 44.12°, d = 2.053 Å, I 34, (1 2 1); 54.78°, d = 1.676 Å, I 39, (3 1 1)

Structural model:
```
data_LiVBO3
_chemical_formula_sum 'Li3 V3 B3 O9'
_space_group_name_H-M_alt 'P -6'
_space_group_IT_number 174
_space_group_name_Hall 'P -6'
_cell_length_a 8.2072
_cell_length_b 8.2072
_cell_length_c 3.1822
_cell_angle_alpha 90.00
_cell_angle_beta 90.00
_cell_angle_gamma 120.00
loop_
_atom_site_label
_atom_site_fract_x
_atom_site_fract_y
_atom_site_fract_z
Li1 0.0304 0.7360 0.0000
V1 0.3931 0.0218 0.5000
B1 0.0000 0.0000 0.5000
B2 0.3333 0.6667 0.0000
B3 0.6667 0.3333 0.0000
O1 0.0975 0.9014 0.5000
O2 0.1391 0.5596 0.0000
O3 0.4708 0.2341 0.0000
```